[1]
The following is a simulated PXRD pattern of LiMgHg2Bi. It was derived from a cell relaxed with PBE, using a wavelength of 1.5418 Å.
No peak broadening, texture or thermal motion is included.

Cell and atoms:
Cell lengths 7.714, 7.714, 5.924 Å; angles 90.00, 90.00, 135.12 degrees
Element x y z (fractional)
Li 0.144 0.856 0.750
Li 0.856 0.144 0.250
Mg 0.345 0.655 0.750
Mg 0.655 0.345 0.250
Hg 0.249 0.249 0.000
Hg 0.249 0.249 0.500
Hg 0.751 0.751 0.000
Hg 0.751 0.751 0.500
Bi 0.255 0.745 0.250
Bi 0.745 0.255 0.750

Main lines, in order of falling intensity (2θ = 10–80°):
- d = 2.735 Å, rel. 1000
- d = 2.721 Å, rel. 986
- d = 3.565 Å, rel. 870
- d = 1.802 Å, rel. 535
- d = 2.088 Å, rel. 501
- d = 4.008 Å, rel. 440
- d = 7.130 Å, rel. 408
- d = 1.854 Å, rel. 344
- d = 1.849 Å, rel. 342
- d = 3.137 Å, rel. 341

***

[2]
The following is a simulated PXRD pattern of Li2PuHgBi2. It was derived from a cell relaxed with PBE, using a wavelength of 1.5418 Å.
No peak broadening, texture or thermal motion is included.

Cell and atoms:
Cell lengths 4.913, 4.913, 7.093 Å; angles 90.00, 90.00, 120.00 degrees
Element x y z (fractional)
Li 0.333 0.667 0.150
Li 0.667 0.333 0.850
Pu 0.000 0.000 0.500
Hg 0.000 0.000 0.000
Bi 0.333 0.667 0.716
Bi 0.667 0.333 0.284

Main lines, in order of falling intensity (2θ = 10–80°):
- d = 2.724 Å, rel. 1000
- d = 2.457 Å, rel. 672
- d = 3.649 Å, rel. 595
- d = 1.824 Å, rel. 317
- d = 1.465 Å, rel. 314
- d = 4.255 Å, rel. 181
- d = 1.438 Å, rel. 173
- d = 1.418 Å, rel. 135
- d = 2.038 Å, rel. 126
- d = 2.067 Å, rel. 120

***

[3]
The following is a simulated PXRD pattern of Mg8Hg3Bi2. It was derived from a cell relaxed with PBE, using a wavelength of 1.5418 Å.
No peak broadening, texture or thermal motion is included.

Cell and atoms:
Cell lengths 8.784, 8.784, 4.757 Å; angles 90.00, 90.00, 114.09 degrees
Element x y z (fractional)
Mg 0.113 0.887 0.000
Mg 0.128 0.359 0.500
Mg 0.359 0.128 0.500
Mg 0.382 0.618 0.000
Mg 0.618 0.382 0.000
Mg 0.641 0.872 0.500
Mg 0.872 0.641 0.500
Mg 0.887 0.113 0.000
Hg 0.240 0.240 0.000
Hg 0.500 0.500 0.500
Hg 0.760 0.760 0.000
Bi 0.248 0.752 0.500
Bi 0.752 0.248 0.500

Main lines, in order of falling intensity (2θ = 10–80°):
- d = 2.487 Å, rel. 1000
- d = 4.003 Å, rel. 857
- d = 3.371 Å, rel. 483
- d = 3.685 Å, rel. 306
- d = 2.378 Å, rel. 224
- d = 2.389 Å, rel. 222
- d = 1.393 Å, rel. 178
- d = 2.184 Å, rel. 177
- d = 1.398 Å, rel. 160
- d = 1.686 Å, rel. 154

***

[4]
The following is a simulated PXRD pattern of Mg2Hg4Bi. It was derived from a cell relaxed with PBE, using a wavelength of 1.5418 Å.
No peak broadening, texture or thermal motion is included.

Cell and atoms:
Cell lengths 4.948, 3.621, 10.170 Å; angles 90.00, 102.73, 90.00 degrees
Element x y z (fractional)
Mg 0.080 0.000 0.155
Mg 0.920 0.000 0.845
Hg 0.196 0.500 0.397
Hg 0.344 0.000 0.684
Hg 0.656 0.000 0.316
Hg 0.804 0.500 0.603
Bi 0.500 0.500 0.000

Main lines, in order of falling intensity (2θ = 10–80°):
- d = 2.687 Å, rel. 1000
- d = 2.659 Å, rel. 967
- d = 2.925 Å, rel. 516
- d = 2.473 Å, rel. 507
- d = 3.307 Å, rel. 450
- d = 2.484 Å, rel. 371
- d = 2.435 Å, rel. 333
- d = 1.740 Å, rel. 286
- d = 1.470 Å, rel. 238
- d = 1.410 Å, rel. 206